Structure and simulated X-ray diffraction stick pattern of LiVO2F2 (a cell relaxed with PBE+U; Cu Kα).
Kinematic intensities with the Lorentz-polarization factor, no thermal factor.

Top 10 peaks for 10° ≤ 2θ ≤ 80°, sorted by position:
(0 1 0), 5.505 Å, I = 68
(1 0 0), 4.736 Å, I = 90
(1 1 0), 3.590 Å, I = 100
(0 1 1), 3.564 Å, I = 68
(1 1 -1), 3.517 Å, I = 38
(1 0 -2), 2.648 Å, I = 19
(2 0 -2), 2.286 Å, I = 44
(1 2 1), 1.943 Å, I = 73
(0 3 1), 1.709 Å, I = 19
(3 1 -2), 1.661 Å, I = 24

Cell: 5.367 5.505 5.298 Å, 90.00 118.06 90.00°
Space group P2/c (No. 13)
Inequivalent atoms, fractional coordinates:
Li: 0.000 0.095 0.250 x2
V: 0.500 0.401 0.250 x2
O: 0.300 0.390 0.473 x4
F: 0.237 0.141 0.055 x4